No. 1
Starting from a DFT-relaxed cell (GGA-PBE, the Materials Project), the powder diffractogram of DyAl3 was calculated for Cu Ka.
Kinematic intensities with the Lorentz-polarization factor, no thermal factor.

The 12 most intense peaks (15 to 90 degrees two-theta), low angle first:
2θ (°), d_spacing, Rel. int.
19.32, 4.594, 36
23.35, 3.810, 91
30.19, 2.960, 24
36.09, 2.488, 100
36.34, 2.472, 30
39.22, 2.297, 20
43.22, 2.093, 30
49.70, 1.835, 25
57.71, 1.597, 16
59.77, 1.547, 23
69.05, 1.360, 15
74.60, 1.272, 24

a b c (Å): 5.465 5.465 5.465
angles (deg): 134.96 134.96 65.60
Element x y z (fractional)
1 Dy 0.000 0.000 0.000
2 Al 0.250 0.750 0.500
3 Al 0.500 0.500 0.000
4 Al 0.750 0.250 0.500


No. 2
Starting from a DFT-relaxed cell (GGA-PBE, the Materials Project), the powder diffractogram of Dy3Al2 was calculated for Cu Ka.
Kinematic intensities with the Lorentz-polarization factor, no thermal factor.

The 12 most intense peaks (15 to 90 degrees two-theta), low angle first:
2θ (°), d_spacing, Rel. int.
24.16, 3.684, 52
28.01, 3.186, 51
30.70, 2.912, 37
32.02, 2.795, 100
33.87, 2.647, 85
34.43, 2.605, 69
36.46, 2.465, 22
45.40, 1.998, 17
47.80, 1.903, 17
51.67, 1.769, 21
52.94, 1.729, 32
60.23, 1.537, 24

a b c (Å): 8.237 8.237 7.611
angles (deg): 90.00 90.00 90.00
Element x y z (fractional)
1 Dy 0.000 0.500 0.250
2 Dy 0.000 0.500 0.750
3 Dy 0.151 0.151 0.000
4 Dy 0.200 0.200 0.500
5 Dy 0.300 0.700 0.000
6 Dy 0.349 0.651 0.500
7 Dy 0.500 0.000 0.250
8 Dy 0.500 0.000 0.750
9 Dy 0.651 0.349 0.500
10 Dy 0.700 0.300 0.000
11 Dy 0.800 0.800 0.500
12 Dy 0.849 0.849 0.000
13 Al 0.119 0.881 0.302
14 Al 0.119 0.881 0.698
15 Al 0.381 0.381 0.198
16 Al 0.381 0.381 0.802
17 Al 0.619 0.619 0.198
18 Al 0.619 0.619 0.802
19 Al 0.881 0.119 0.302
20 Al 0.881 0.119 0.698


No. 3
Starting from a DFT-relaxed cell (GGA-PBE, the Materials Project), the powder diffractogram of DyAl3 was calculated for Cu Ka.
Kinematic intensities with the Lorentz-polarization factor, no thermal factor.

The 12 most intense peaks (15 to 90 degrees two-theta), low angle first:
2θ (°), d_spacing, Rel. int.
16.33, 5.427, 27
25.29, 3.521, 100
28.49, 3.133, 47
33.01, 2.713, 24
38.46, 2.341, 96
38.92, 2.314, 21
48.55, 1.875, 26
48.94, 1.861, 22
58.96, 1.567, 17
65.18, 1.431, 17
70.18, 1.341, 16
72.92, 1.297, 18

a b c (Å): 6.266 6.266 4.628
angles (deg): 90.00 90.00 120.00
Element x y z (fractional)
1 Dy 0.333 0.667 0.250
2 Dy 0.667 0.333 0.750
3 Al 0.147 0.294 0.750
4 Al 0.147 0.853 0.750
5 Al 0.294 0.147 0.250
6 Al 0.706 0.853 0.750
7 Al 0.853 0.147 0.250
8 Al 0.853 0.706 0.250


No. 4
Starting from a DFT-relaxed cell (GGA-PBE, the Materials Project), the powder diffractogram of DyAl2 was calculated for Cu Ka.
Kinematic intensities with the Lorentz-polarization factor, no thermal factor.

The 12 most intense peaks (15 to 90 degrees two-theta), low angle first:
2θ (°), d_spacing, Rel. int.
19.55, 4.541, 64
32.19, 2.781, 100
37.94, 2.372, 98
46.16, 1.967, 8
50.58, 1.805, 17
57.39, 1.606, 39
61.23, 1.514, 32
67.34, 1.391, 21
70.87, 1.330, 12
76.61, 1.244, 17
79.98, 1.200, 11
88.84, 1.101, 7

a b c (Å): 5.562 5.562 5.562
angles (deg): 60.00 60.00 60.00
Element x y z (fractional)
1 Dy 0.125 0.125 0.125
2 Dy 0.875 0.875 0.875
3 Al 0.000 0.500 0.500
4 Al 0.500 0.000 0.500
5 Al 0.500 0.500 0.000
6 Al 0.500 0.500 0.500


No. 5
Starting from a DFT-relaxed cell (GGA-PBE, the Materials Project), the powder diffractogram of DyErAl2 was calculated for Cu Ka.
Kinematic intensities with the Lorentz-polarization factor, no thermal factor.

The 9 most intense peaks (15 to 90 degrees two-theta), low angle first:
2θ (°), d_spacing, Rel. int.
24.89, 3.578, 63
35.48, 2.530, 100
43.83, 2.066, 19
51.05, 1.789, 18
57.61, 1.600, 26
63.71, 1.461, 37
75.10, 1.265, 11
80.54, 1.193, 12
85.90, 1.131, 16

a b c (Å): 5.060 5.060 5.060
angles (deg): 60.00 60.00 60.00
Element x y z (fractional)
1 Dy 0.000 0.000 0.000
2 Er 0.500 0.500 0.500
3 Al 0.250 0.250 0.250
4 Al 0.750 0.750 0.750


No. 6
Starting from a DFT-relaxed cell (GGA-PBE, the Materials Project), the powder diffractogram of DyAl8Fe4 was calculated for Cu Ka.
Kinematic intensities with the Lorentz-polarization factor, no thermal factor.

The 12 most intense peaks (15 to 90 degrees two-theta), low angle first:
2θ (°), d_spacing, Rel. int.
20.42, 4.349, 21
29.04, 3.075, 43
32.56, 2.750, 12
35.76, 2.511, 21
41.53, 2.174, 100
46.71, 1.945, 11
49.13, 1.854, 7
55.94, 1.644, 8
60.19, 1.538, 26
68.19, 1.375, 17
75.77, 1.255, 20
83.10, 1.162, 5

a b c (Å): 6.643 6.643 6.643
angles (deg): 98.22 98.22 135.58
Element x y z (fractional)
1 Dy 0.000 0.000 0.000
2 Al 0.000 0.340 0.340
3 Al 0.000 0.660 0.660
4 Al 0.279 0.500 0.779
5 Al 0.340 0.000 0.340
6 Al 0.500 0.279 0.779
7 Al 0.500 0.721 0.221
8 Al 0.660 0.000 0.660
9 Al 0.721 0.500 0.221
10 Fe 0.000 0.000 0.500
11 Fe 0.000 0.500 0.000
12 Fe 0.500 0.000 0.000
13 Fe 0.500 0.500 0.500


No. 7
Starting from a DFT-relaxed cell (GGA-PBE, the Materials Project), the powder diffractogram of DyAl7Fe5 was calculated for Cu Ka.
Kinematic intensities with the Lorentz-polarization factor, no thermal factor.

The 12 most intense peaks (15 to 90 degrees two-theta), low angle first:
2θ (°), d_spacing, Rel. int.
20.47, 4.339, 29
29.18, 3.061, 87
32.75, 2.734, 22
35.94, 2.499, 34
41.62, 2.170, 78
41.74, 2.164, 100
41.84, 2.159, 30
46.85, 1.939, 19
49.30, 1.848, 14
60.46, 1.531, 32
60.58, 1.528, 14
68.39, 1.372, 16

a b c (Å): 6.609 6.609 6.609
angles (deg): 135.39 98.16 98.41
Element x y z (fractional)
1 Dy 0.000 0.000 0.000
2 Al 0.212 0.500 0.711
3 Al 0.230 0.730 0.500
4 Al 0.345 0.345 0.000
5 Al 0.356 0.013 0.343
6 Al 0.666 0.666 0.000
7 Al 0.670 0.013 0.657
8 Al 0.789 0.500 0.289
9 Fe 0.007 0.004 0.498
10 Fe 0.007 0.509 0.003
11 Fe 0.506 0.004 0.997
12 Fe 0.506 0.509 0.502
13 Fe 0.769 0.269 0.500


No. 8
Starting from a DFT-relaxed cell (GGA-PBE, the Materials Project), the powder diffractogram of DyAl10Fe2 was calculated for Cu Ka.
Kinematic intensities with the Lorentz-polarization factor, no thermal factor.

The 12 most intense peaks (15 to 90 degrees two-theta), low angle first:
2θ (°), d_spacing, Rel. int.
16.53, 5.364, 40
20.16, 4.405, 26
23.89, 3.725, 26
28.22, 3.162, 41
28.46, 3.136, 38
34.84, 2.575, 43
37.33, 2.409, 36
40.23, 2.242, 30
40.44, 2.231, 100
41.00, 2.201, 87
58.34, 1.582, 19
58.91, 1.568, 21

a b c (Å): 6.746 6.746 8.968
angles (deg): 90.00 90.00 97.11
Element x y z (fractional)
1 Dy 0.125 0.875 0.750
2 Dy 0.875 0.125 0.250
3 Al 0.134 0.415 0.750
4 Al 0.157 0.843 0.097
5 Al 0.157 0.843 0.403
6 Al 0.220 0.477 0.250
7 Al 0.227 0.227 0.000
8 Al 0.227 0.227 0.500
9 Al 0.374 0.626 0.547
10 Al 0.374 0.626 0.953
11 Al 0.415 0.134 0.250
12 Al 0.477 0.220 0.750
13 Al 0.523 0.780 0.250
14 Al 0.585 0.866 0.750
15 Al 0.626 0.374 0.047
16 Al 0.626 0.374 0.453
17 Al 0.773 0.773 0.000
18 Al 0.773 0.773 0.500
19 Al 0.780 0.523 0.750
20 Al 0.843 0.157 0.597
21 Al 0.843 0.157 0.903
22 Al 0.866 0.585 0.250
23 Fe 0.000 0.500 0.000
24 Fe 0.000 0.500 0.500
25 Fe 0.500 0.000 0.000
26 Fe 0.500 0.000 0.500